Record 1
Theoretical powder XRD pattern
Compound: Nd4Sm3Er8
Radiation: Cu Kα, 1.54184 Å
Structure: a cell relaxed with PBE
No peak broadening, texture or thermal motion is included.

Top 10 peaks for 10 to 80 degrees two-theta, by intensity:
31.3 deg, I 100; 36.0 deg, I 73; 30.2 deg, I 55; 61.8 deg, I 43; 52.5 deg, I 36; 51.1 deg, I 23; 29.7 deg, I 23; 60.6 deg, I 17; 30.0 deg, I 16; 26.7 deg, I 14

Atomic structure:
```
Nd4Sm3Er8
1.0
3.4864 2.0129 11.8217
-3.4864 2.0129 11.8217
0.0000 -4.0257 11.8217
Nd Sm Er
4 3 8
Direct
0.0000 0.0000 0.0000
0.1635 0.1635 0.1635
0.5000 0.5000 0.5000
0.8365 0.8365 0.8365
0.0000 0.5000 0.5000
0.5000 0.0000 0.5000
0.5000 0.5000 0.0000
0.2501 0.2501 0.7484
0.2501 0.7484 0.2501
0.2516 0.7499 0.7499
0.2547 0.2547 0.2547
0.7453 0.7453 0.7453
0.7484 0.2501 0.2501
0.7499 0.2516 0.7499
0.7499 0.7499 0.2516
```


Record 2
Theoretical powder XRD pattern
Compound: SrSiAu3
Radiation: Cu Kα, 1.54184 Å
Structure: a cell relaxed with PBE
No peak broadening, texture or thermal motion is included.

Top 10 peaks for 10 to 80 degrees two-theta, by intensity:
31.4 deg, I 100; 31.6 deg, I 98; 36.7 deg, I 78; 52.6 deg, I 69; 36.3 deg, I 41; 62.7 deg, I 27; 63.1 deg, I 26; 18.1 deg, I 17; 62.3 deg, I 15; 62.4 deg, I 14

Atomic structure:
```
SrSiAu3
1.0
6.8902 0.0000 0.0000
0.0000 6.9623 0.0000
0.0000 0.0000 4.9466
Sr Si Au
2 2 6
Direct
0.0000 0.0000 0.0000
0.5000 0.5000 0.0000
0.0000 0.5000 0.5000
0.5000 0.0000 0.5000
0.0000 0.5000 0.0000
0.2375 0.2378 0.5000
0.2625 0.7378 0.5000
0.5000 0.0000 0.0000
0.7375 0.2622 0.5000
0.7625 0.7622 0.5000
```